Diffraction record for BaLi3Bi3. The powder diffractogram is theoretical, not measured: it uses a cell relaxed with GGA-PBE and a wavelength of 1.5418 Å.

Structure:
```
BaLi3Bi3
1.0
3.5177 2.0309 9.5358
-3.5177 2.0309 9.5358
0.0000 -4.0619 9.5358
Ba Li Bi
2 6 6
Direct
0.1885 0.1885 0.1885 Ba
0.8115 0.8115 0.8115 Ba
0.0792 0.5768 0.2740 Li
0.2740 0.0792 0.5768 Li
0.4232 0.7260 0.9208 Li
0.5768 0.2740 0.0792 Li
0.7260 0.9208 0.4232 Li
0.9208 0.4232 0.7260 Li
0.1791 0.7374 0.3224 Bi
0.2626 0.6776 0.8209 Bi
0.3224 0.1791 0.7374 Bi
0.6776 0.8209 0.2626 Bi
0.7374 0.3224 0.1791 Bi
0.8209 0.2626 0.6776 Bi
```

Main lines, most intense first (15 to 90 degrees two-theta):
27.0 deg, intensity 100
30.0 deg, intensity 89
18.6 deg, intensity 78
31.6 deg, intensity 55
31.9 deg, intensity 52
38.2 deg, intensity 36
29.0 deg, intensity 28
54.4 deg, intensity 27
56.8 deg, intensity 27
39.2 deg, intensity 26
19.1 deg, intensity 22
59.2 deg, intensity 21